Simulated X-ray diffraction stick pattern of BaCoAs2O7 for Cu Kα, from the GGA+U geometry in Alexandria.
No peak broadening, texture or thermal motion is included.

The 6 most intense peaks (5 to 70 degrees two-theta), in order of rising 2θ:
h k l	2theta	Rel. int.
1 1 -1	21.95	59
0 2 0	23.82	100
1 -2 1	27.94	87
1 1 -2	28.13	47
1 0 2	29.12	96
2 0 0	32.34	54

Structural model:
a b c (Å): 5.578 7.709 7.980
angles (deg): 102.86 93.08 95.46
Sites, in units of the cell vectors:
1 Ba 0.188 0.280 0.429
2 Ba 0.812 0.720 0.571
3 Co 0.182 0.114 0.898
4 Co 0.818 0.886 0.102
5 As 0.295 0.689 0.894
6 As 0.316 0.771 0.290
7 As 0.684 0.229 0.710
8 As 0.705 0.311 0.106
9 O 0.080 0.900 0.299
10 O 0.099 0.854 0.912
11 O 0.186 0.517 0.732
12 O 0.273 0.608 0.087
13 O 0.312 0.655 0.446
14 O 0.407 0.110 0.704
15 O 0.411 0.223 0.109
16 O 0.589 0.777 0.891
17 O 0.593 0.890 0.296
18 O 0.688 0.345 0.554
19 O 0.727 0.392 0.913
20 O 0.814 0.483 0.268
21 O 0.901 0.146 0.088
22 O 0.920 0.100 0.701